(1)
Calculated powder diffraction line list of Cu2HgIr for a wavelength of 1.5418 Å, from a GGA-PBE-relaxed structure.

Structural model:
a b c (Å): 3.0093 4.5935 8.8392
angles (deg): 90.00 90.00 90.00
Space group Immm (No. 71)
One atom of each set of equivalent atoms:
Cu1 0.0000 0.0000 0.2414 x4
Hg1 0.0000 0.5000 0.0000 x2
Ir1 0.0000 0.5000 0.5000 x2

Most intense lines, 5 to 70 degrees two-theta, by angle:
Position (°2θ), Rel. int., h k l
20.09, 34.3, 0 0 2
35.67, 16.9, 1 1 0
39.23, 28.9, 0 2 0
40.84, 25.5, 0 0 4
41.27, 100.0, 1 1 2
44.45, 9.5, 0 2 2
55.32, 10.5, 1 1 4
57.91, 18.2, 0 2 4
61.64, 7.6, 2 0 0
63.11, 1.9, 0 0 6
65.54, 3.2, 2 0 2
68.79, 2.8, 1 3 0

(2)
Calculated powder diffraction line list of Cu2HgIr for a wavelength of 1.5418 Å, from a GGA-PBE-relaxed structure.

Structural model:
a b c (Å): 2.7828 4.1884 5.3020
angles (deg): 90.00 105.00 90.00
Space group Pm (No. 6)
One atom of each set of equivalent atoms:
Cu1 0.0000 0.0000 0.0000 x1
Cu2 0.1371 0.5000 0.2660 x1
Hg1 0.7468 0.0000 0.4895 x1
Ir1 0.4088 0.5000 0.8150 x1

Most intense lines, 5 to 70 degrees two-theta, by angle:
Position (°2θ), Rel. int., h k l
17.32, 14.7, 0 0 1
27.51, 44.4, 0 1 1
35.04, 8.3, 0 0 2
39.88, 100.0, 1 1 0
41.33, 66.9, 0 1 2
41.80, 25.9, 1 0 1
41.96, 26.0, 1 0 -2
43.20, 35.4, 0 2 0
55.62, 6.1, 1 0 2
61.68, 16.5, 1 2 1
61.80, 16.7, 1 2 -2
67.29, 9.4, 2 0 -1

(3)
Calculated powder diffraction line list of La4CuHg for a wavelength of 1.5418 Å, from a GGA-PBE-relaxed structure.

Structural model:
a b c (Å): 5.4110 12.6635 5.4130
angles (deg): 90.00 90.00 90.00
Space group Cmmm (No. 65)
One atom of each set of equivalent atoms:
La1 0.0000 0.1459 0.0000 x4
La2 0.0000 0.3533 0.5000 x4
Cu1 0.0000 0.5000 0.0000 x2
Hg1 0.0000 0.0000 0.5000 x2

Most intense lines, 5 to 70 degrees two-theta, by angle:
Position (°2θ), Rel. int., h k l
13.99, 4.1, 0 2 0
17.83, 5.4, 1 1 0
31.56, 100.0, 1 3 1
33.10, 48.7, 2 0 0
42.83, 15.9, 0 6 0
47.52, 17.7, 2 0 2
55.19, 14.9, 2 6 0
56.22, 3.6, 1 7 1
58.16, 34.9, 3 3 1
65.88, 13.1, 2 6 2
68.70, 4.9, 2 8 0
69.47, 5.6, 4 0 0

(4)
Calculated powder diffraction line list of La7Cu2Hg2 for a wavelength of 1.5418 Å, from a GGA-PBE-relaxed structure.

Structural model:
a b c (Å): 8.1822 11.6565 7.3612
angles (deg): 90.00 90.00 90.00
Space group Cmmm (No. 65)
One atom of each set of equivalent atoms:
La1 0.0000 0.0000 0.0000 x2
La2 0.0000 0.5000 0.2389 x4
La3 0.2500 0.2500 0.2693 x8
Cu1 0.0000 0.2892 0.0000 x4
Hg1 0.1747 0.0000 0.5000 x4

Most intense lines, 5 to 70 degrees two-theta, by angle:
Position (°2θ), Rel. int., h k l
24.90, 44.9, 2 0 1
26.62, 39.1, 2 2 0
27.66, 60.3, 1 1 2
28.69, 40.3, 0 2 2
30.68, 77.0, 0 4 0
35.34, 48.1, 1 3 2
35.95, 22.7, 3 1 1
36.27, 100.0, 2 2 2
39.89, 36.1, 0 2 3
42.31, 23.2, 3 3 1
58.25, 21.2, 2 6 2
59.40, 21.2, 0 4 4

(5)
Calculated powder diffraction line list of LaCu2Hg for a wavelength of 1.5418 Å, from a GGA-PBE-relaxed structure.

Structural model:
a b c (Å): 4.1864 4.1876 9.7785
angles (deg): 90.00 90.12 90.00
Space group P2_1/m (No. 11)
One atom of each set of equivalent atoms:
La1 0.2489 0.2500 0.2635 x2
Cu1 0.2500 0.7500 0.4999 x2
Cu2 0.2506 0.2500 0.6378 x2
Hg1 0.2513 0.2500 0.9195 x2

Most intense lines, 5 to 70 degrees two-theta, by angle:
Position (°2θ), Rel. int., h k l
28.06, 19.7, 1 0 -2
30.19, 61.1, 1 1 0
31.57, 33.9, 1 1 1
34.88, 100.0, 1 0 3
35.44, 8.3, 1 1 -2
41.19, 13.9, 1 1 3
42.84, 10.4, 1 0 4
43.21, 45.9, 2 0 0
56.69, 49.6, 2 1 3
62.77, 14.9, 2 2 0
65.29, 13.8, 1 1 -6
65.40, 9.5, 1 1 6

(6)
Calculated powder diffraction line list of La4Cu3Hg for a wavelength of 1.5418 Å, from a GGA-PBE-relaxed structure.

Structural model:
a b c (Å): 3.9912 4.7277 11.2713
angles (deg): 90.00 90.00 90.00
Space group Pmm2 (No. 25)
One atom of each set of equivalent atoms:
La1 0.0000 0.0000 0.0000 x1
La2 0.0000 0.5000 0.2668 x1
La3 0.5000 0.0000 0.4715 x1
La4 0.5000 0.5000 0.7773 x1
Cu1 0.0000 0.5000 0.5500 x1
Cu2 0.5000 0.0000 0.1946 x1
Cu3 0.5000 0.5000 0.0655 x1
Hg1 0.0000 0.0000 0.6996 x1

Most intense lines, 5 to 70 degrees two-theta, by angle:
Position (°2θ), Rel. int., h k l
30.36, 100.0, 1 1 1
31.76, 17.6, 0 0 4
32.74, 36.5, 1 0 3
37.14, 28.9, 0 1 4
38.03, 84.3, 0 2 0
45.45, 18.7, 2 0 0
51.06, 20.8, 1 2 3
52.40, 12.6, 0 1 6
60.09, 13.9, 2 1 4
60.74, 17.2, 2 2 0
62.16, 12.8, 1 0 7
64.06, 11.7, 1 3 1

(7)
Calculated powder diffraction line list of La2CuHg3 for a wavelength of 1.5418 Å, from a GGA-PBE-relaxed structure.

Structural model:
a b c (Å): 7.2866 9.8508 17.1112
angles (deg): 90.00 90.00 90.00
Space group Fmmm (No. 69)
One atom of each set of equivalent atoms:
La1 0.2469 0.0000 0.0000 x8
La2 0.2500 0.2500 0.2500 x8
Cu1 0.0000 0.0000 0.3332 x8
Hg1 0.0000 0.0000 0.1735 x8
Hg2 0.0000 0.2387 0.4134 x16

Most intense lines, 5 to 70 degrees two-theta, by angle:
Position (°2θ), Rel. int., h k l
24.43, 14.1, 2 0 0
30.28, 7.3, 1 3 1
32.29, 100.0, 2 2 2
36.43, 85.3, 0 2 6
44.35, 17.0, 2 2 6
49.40, 11.2, 2 0 8
49.50, 19.6, 2 4 4
50.07, 11.9, 4 0 0
62.93, 19.4, 2 4 8
63.05, 9.3, 2 6 2
63.49, 34.0, 4 2 6
65.61, 9.6, 0 6 6

(8)
Calculated powder diffraction line list of La3CuHg2 for a wavelength of 1.5418 Å, from a GGA-PBE-relaxed structure.

Structural model:
a b c (Å): 5.3874 16.2008 7.7565
angles (deg): 90.00 90.00 90.00
Space group Cmmm (No. 65)
One atom of each set of equivalent atoms:
La1 0.0000 0.0000 0.2402 x4
La2 0.0000 0.3269 0.2300 x8
Cu1 0.0000 0.1606 0.0000 x4
Hg1 0.0000 0.1659 0.5000 x4
Hg2 0.0000 0.5000 0.0000 x2
Hg3 0.0000 0.5000 0.5000 x2

Most intense lines, 5 to 70 degrees two-theta, by angle:
Position (°2θ), Rel. int., h k l
26.03, 7.2, 1 3 1
32.94, 100.0, 1 3 2
33.22, 49.7, 2 0 0
46.85, 8.9, 0 0 4
47.69, 17.9, 2 6 0
48.80, 3.6, 2 0 3
58.64, 17.9, 2 0 4
59.12, 17.9, 1 9 2
59.23, 18.6, 3 3 2
69.08, 10.8, 2 6 4
69.64, 2.7, 0 12 0
69.83, 2.9, 4 0 0

(9)
Calculated powder diffraction line list of LaCuHg for a wavelength of 1.5418 Å, from a GGA-PBE-relaxed structure.

Structural model:
a b c (Å): 12.6051 4.3216 5.3830
angles (deg): 90.00 100.55 90.00
Space group C2/m (No. 12)
One atom of each set of equivalent atoms:
La1 0.1223 0.0000 0.3055 x4
Cu1 0.2265 0.0000 0.8576 x4
Hg1 0.0828 0.5000 0.7832 x4

Most intense lines, 5 to 70 degrees two-theta, by angle:
Position (°2θ), Rel. int., h k l
28.41, 43.3, 1 1 1
28.82, 16.9, 4 0 0
29.92, 15.2, 3 1 0
32.42, 100.0, 3 1 -1
33.88, 32.9, 0 0 2
34.33, 23.3, 2 0 -2
36.45, 63.4, 3 1 1
41.80, 44.7, 0 2 0
43.83, 11.8, 6 0 0
54.85, 16.8, 0 2 2
55.16, 12.1, 2 2 -2
58.22, 17.2, 1 1 3

(10)
Calculated powder diffraction line list of La4CuHg for a wavelength of 1.5418 Å, from a GGA-PBE-relaxed structure.

Structural model:
a b c (Å): 8.2322 4.8766 18.4798
angles (deg): 90.00 90.00 90.00
Space group Pnma (No. 62)
One atom of each set of equivalent atoms:
La1 0.0110 0.2500 0.2144 x4
La2 0.0534 0.2500 0.9413 x4
La3 0.1115 0.2500 0.4405 x4
La4 0.1618 0.2500 0.6493 x4
Cu1 0.2352 0.2500 0.0719 x4
Hg1 0.2095 0.7500 0.3100 x4

Most intense lines, 5 to 70 degrees two-theta, by angle:
Position (°2θ), Rel. int., h k l
28.37, 15.3, 2 1 0
28.76, 100.0, 1 1 4
30.01, 12.0, 2 1 2
30.34, 16.2, 0 1 5
31.00, 13.0, 1 0 6
31.95, 26.8, 2 1 3
36.86, 33.2, 0 2 0
38.15, 20.5, 3 0 4
38.96, 17.0, 0 0 8
40.38, 11.3, 1 1 7
54.09, 14.6, 3 2 4
61.52, 11.7, 1 3 4

(11)
Calculated powder diffraction line list of Sr2LaCu2HgO6 for a wavelength of 1.5418 Å, from a GGA-PBE-relaxed structure.

Structural model:
a b c (Å): 3.9335 3.9335 12.4786
angles (deg): 90.00 90.00 90.00
Space group P4/mmm (No. 123)
One atom of each set of equivalent atoms:
Sr1 0.0000 0.0000 0.2259 x2
La1 0.0000 0.0000 0.5000 x1
Cu1 0.5000 0.5000 0.3665 x2
Hg1 0.5000 0.5000 0.0000 x1
O1 0.0000 0.5000 0.3694 x4
O2 0.5000 0.5000 0.1638 x2

Most intense lines, 5 to 70 degrees two-theta, by angle:
Position (°2θ), Rel. int., h k l
23.72, 45.3, 1 0 1
26.79, 24.5, 1 0 2
31.30, 100.0, 1 0 3
32.18, 73.3, 1 1 0
36.77, 14.7, 1 0 4
42.92, 15.5, 1 0 5
43.58, 29.7, 1 1 4
46.16, 38.6, 2 0 0
55.17, 13.5, 1 1 6
56.69, 11.4, 1 0 7
56.83, 37.4, 2 1 3
67.33, 11.8, 2 2 0

(12)
Calculated powder diffraction line list of La2Cu4Sn3Hg for a wavelength of 1.5418 Å, from a GGA-PBE-relaxed structure.

Structural model:
a b c (Å): 4.5228 4.5228 10.6336
angles (deg): 90.00 90.00 90.00
Space group P-4m2 (No. 115)
One atom of each set of equivalent atoms:
La1 0.0000 0.5000 0.2375 x2
Cu1 0.0000 0.0000 0.0000 x1
Cu2 0.0000 0.5000 0.6340 x2
Cu3 0.5000 0.5000 0.0000 x1
Sn1 0.0000 0.5000 0.8728 x2
Sn2 0.5000 0.5000 0.5000 x1
Hg1 0.0000 0.0000 0.5000 x1

Most intense lines, 5 to 70 degrees two-theta, by angle:
Position (°2θ), Rel. int., h k l
25.12, 8.1, 0 0 3
29.16, 18.4, 1 1 1
32.08, 49.4, 1 0 3
32.68, 100.0, 1 1 2
39.86, 64.0, 2 0 0
44.31, 25.6, 1 1 4
47.23, 20.0, 1 0 5
52.06, 25.2, 2 1 3
57.65, 21.6, 2 2 0
59.65, 13.9, 1 1 6
63.47, 16.3, 2 1 5
67.86, 24.0, 3 1 2